Structure and computed powder XRD pattern of MgH2Br2O (a crystal structure in Alexandria, relaxed with PBE; Cu Kα X-rays).

Most intense lines, 10° ≤ 2θ ≤ 90°, by angle:
2θ/deg	I_rel
14.25	50
19.10	100
21.26	33
24.28	36
28.73	59
31.08	55
32.49	74
37.96	61
41.87	31
51.45	20

Atomic structure:
```
data_MgH2Br2O
_chemical_formula_sum 'Mg2 H4 Br4 O2'
_cell_length_a 6.249
_cell_length_b 6.249
_cell_length_c 7.332
_cell_angle_alpha 90.00
_cell_angle_beta 90.00
_cell_angle_gamma 96.05
_space_group_name_H-M_alt 'P 1'
_space_group_IT_number 1
loop_
_space_group_symop_operation_xyz
'x,y,z'
loop_
_atom_site_label
_atom_site_type_symbol
_atom_site_fract_x
_atom_site_fract_y
_atom_site_fract_z
_atom_site_occupancy
Mg1 Mg 0.064 0.936 0.500 1
Mg2 Mg 0.936 0.064 0.000 1
H1 H 0.235 0.576 0.401 1
H2 H 0.424 0.765 0.401 1
H3 H 0.576 0.235 0.901 1
H4 H 0.765 0.424 0.901 1
Br1 Br 0.192 0.237 0.259 1
Br2 Br 0.237 0.192 0.759 1
Br3 Br 0.763 0.808 0.259 1
Br4 Br 0.808 0.763 0.759 1
O1 O 0.276 0.724 0.445 1
O2 O 0.724 0.276 0.945 1
```

Structure and computed powder XRD pattern of NaPmSO4 (a crystal structure in Alexandria, relaxed with PBE; Cu Kα X-rays).

Most intense lines, 10° ≤ 2θ ≤ 90°, by angle:
2θ/deg	I_rel
15.70	100
20.24	35
24.13	34
30.00	73
32.94	44
35.32	33
41.08	31
42.05	22
46.27	32
55.35	42

Atomic structure:
```
data_NaPmSO4
_chemical_formula_sum 'Na2 Pm2 S2 O8'
_cell_length_a 6.719
_cell_length_b 6.719
_cell_length_c 6.719
_cell_angle_alpha 117.09
_cell_angle_beta 113.42
_cell_angle_gamma 98.46
_space_group_name_H-M_alt 'P 1'
_space_group_IT_number 1
loop_
_space_group_symop_operation_xyz
'x,y,z'
loop_
_atom_site_label
_atom_site_type_symbol
_atom_site_fract_x
_atom_site_fract_y
_atom_site_fract_z
_atom_site_occupancy
Na1 Na 0.000 0.000 0.000 1
Na2 Na 0.500 0.000 0.500 1
Pm1 Pm 0.500 0.000 0.000 1
Pm2 Pm 0.500 0.500 0.500 1
S1 S 0.108 0.358 0.750 1
S2 S 0.892 0.642 0.250 1
O1 O 0.208 0.282 0.575 1
O2 O 0.208 0.633 0.925 1
O3 O 0.292 0.243 0.049 1
O4 O 0.305 0.757 0.549 1
O5 O 0.695 0.243 0.451 1
O6 O 0.708 0.757 0.951 1
O7 O 0.792 0.367 0.075 1
O8 O 0.792 0.718 0.425 1
```

Structure and computed powder XRD pattern of Ni2H4Pt (a crystal structure in Alexandria, relaxed with PBE; Cu Kα X-rays).

Most intense lines, 10° ≤ 2θ ≤ 90°, by angle:
2θ/deg	I_rel
33.22	37
33.72	35
34.08	34
34.75	67
35.04	33
39.91	44
40.24	27
40.48	28
40.76	46
40.95	100

Atomic structure:
```
data_Ni2H4Pt
_chemical_formula_sum 'Ni4 H8 Pt2'
_cell_length_a 5.122
_cell_length_b 5.160
_cell_length_c 5.270
_cell_angle_alpha 89.70
_cell_angle_beta 61.61
_cell_angle_gamma 60.38
_space_group_name_H-M_alt 'P 1'
_space_group_IT_number 1
loop_
_space_group_symop_operation_xyz
'x,y,z'
loop_
_atom_site_label
_atom_site_type_symbol
_atom_site_fract_x
_atom_site_fract_y
_atom_site_fract_z
_atom_site_occupancy
Ni1 Ni 0.000 0.000 0.000 1
Ni2 Ni 0.000 0.000 0.500 1
Ni3 Ni 0.500 0.000 0.000 1
Ni4 Ni 0.500 0.500 0.000 1
H1 H 0.034 0.207 0.229 1
H2 H 0.034 0.759 0.231 1
H3 H 0.460 0.771 0.803 1
H4 H 0.471 0.764 0.236 1
H5 H 0.529 0.236 0.764 1
H6 H 0.540 0.229 0.197 1
H7 H 0.966 0.241 0.769 1
H8 H 0.966 0.793 0.771 1
Pt1 Pt 0.259 0.375 0.606 1
Pt2 Pt 0.741 0.625 0.394 1
```

Structure and computed powder XRD pattern of Pm6GaTe3As2 (a crystal structure in Alexandria, relaxed with PBE; Cu Kα X-rays).

Most intense lines, 10° ≤ 2θ ≤ 90°, by angle:
2θ/deg	I_rel
28.91	100
40.69	12
40.99	24
41.67	25
42.03	12
51.24	7
51.79	13
59.93	8
67.34	9
68.32	11

Atomic structure:
```
data_Pm6GaTe3As2
_chemical_formula_sum 'Pm6 Ga1 Te3 As2'
_cell_length_a 9.826
_cell_length_b 9.826
_cell_length_c 8.872
_cell_angle_alpha 104.31
_cell_angle_beta 104.31
_cell_angle_gamma 25.28
_space_group_name_H-M_alt 'P 1'
_space_group_IT_number 1
loop_
_space_group_symop_operation_xyz
'x,y,z'
loop_
_atom_site_label
_atom_site_type_symbol
_atom_site_fract_x
_atom_site_fract_y
_atom_site_fract_z
_atom_site_occupancy
Pm1 Pm 0.005 0.005 0.238 1
Pm2 Pm 0.327 0.327 0.433 1
Pm3 Pm 0.339 0.339 0.903 1
Pm4 Pm 0.661 0.661 0.097 1
Pm5 Pm 0.673 0.673 0.567 1
Pm6 Pm 0.995 0.995 0.762 1
Ga1 Ga 0.500 0.500 0.000 1
Te1 Te 0.168 0.168 0.832 1
Te2 Te 0.500 0.500 0.500 1
Te3 Te 0.832 0.832 0.168 1
As1 As 0.167 0.167 0.335 1
As2 As 0.833 0.833 0.665 1
```

Structure and computed powder XRD pattern of CrCoW4 (a crystal structure in Alexandria, relaxed with PBE; Cu Kα X-rays).

Most intense lines, 10° ≤ 2θ ≤ 90°, by angle:
2θ/deg	I_rel
20.93	71
40.70	100
42.59	78
49.59	27
54.39	18
66.02	32
72.76	32
76.67	14
86.87	11
88.13	31

Atomic structure:
```
data_CrCoW4
_chemical_formula_sum 'Cr1 Co1 W4'
_cell_length_a 5.199
_cell_length_b 5.199
_cell_length_c 5.199
_cell_angle_alpha 60.00
_cell_angle_beta 60.00
_cell_angle_gamma 60.00
_space_group_name_H-M_alt 'P 1'
_space_group_IT_number 1
loop_
_space_group_symop_operation_xyz
'x,y,z'
loop_
_atom_site_label
_atom_site_type_symbol
_atom_site_fract_x
_atom_site_fract_y
_atom_site_fract_z
_atom_site_occupancy
Cr1 Cr 0.000 0.000 0.000 1
Co1 Co 0.250 0.250 0.250 1
W1 W 0.126 0.625 0.625 1
W2 W 0.625 0.126 0.625 1
W3 W 0.625 0.625 0.126 1
W4 W 0.625 0.625 0.625 1
```

Structure and computed powder XRD pattern of PdPbC (a crystal structure in Alexandria, relaxed with PBE; Cu Kα X-rays).

Most intense lines, 10° ≤ 2θ ≤ 90°, by angle:
2θ/deg	I_rel
21.80	23
25.29	31
27.01	38
31.46	49
31.79	49
32.93	87
33.16	37
33.34	47
34.59	100
39.95	68

Atomic structure:
```
data_PdPbC
_chemical_formula_sum 'Pd2 Pb2 C2'
_cell_length_a 4.523
_cell_length_b 5.201
_cell_length_c 5.780
_cell_angle_alpha 114.40
_cell_angle_beta 111.36
_cell_angle_gamma 93.74
_space_group_name_H-M_alt 'P 1'
_space_group_IT_number 1
loop_
_space_group_symop_operation_xyz
'x,y,z'
loop_
_atom_site_label
_atom_site_type_symbol
_atom_site_fract_x
_atom_site_fract_y
_atom_site_fract_z
_atom_site_occupancy
Pd1 Pd 0.000 0.000 0.000 1
Pd2 Pd 0.489 0.659 0.996 1
Pb1 Pb 0.154 0.647 0.369 1
Pb2 Pb 0.778 0.277 0.627 1
C1 C 0.395 0.263 0.998 1
C2 C 0.559 0.064 0.998 1
```